Simulated powder X-ray diffraction pattern of PmY3Al8 for λ = 1.5418 Å (Cu Kα), from the GGA-PBE geometry in Alexandria.
Neutral-atom scattering factors, no anomalous dispersion.

Structural model:
Cell lengths 5.575, 5.575, 9.197 Å; angles 90.00, 90.00, 120.00 degrees
Positions (direct):
Pm 0.000 0.000 0.000
Y 0.000 0.000 0.364
Y 0.667 0.333 0.499
Y 0.667 0.333 0.863
Al 0.162 0.325 0.680
Al 0.162 0.838 0.680
Al 0.333 0.667 0.433
Al 0.333 0.667 0.931
Al 0.504 0.009 0.184
Al 0.504 0.496 0.184
Al 0.675 0.838 0.680
Al 0.991 0.496 0.184

Peak list (10 most intense, 2θ from 10° to 90°, in order of falling intensity)
| two_theta | I_rel |
| --- | --- |
| 34.66 | 100 |
| 37.74 | 74 |
| 32.11 | 68 |
| 38.56 | 41 |
| 58.90 | 40 |
| 18.38 | 30 |
| 20.78 | 29 |
| 63.60 | 21 |
| 77.85 | 18 |
| 67.17 | 18 |

Simulated powder X-ray diffraction pattern of Pm4Y9Al11 for λ = 1.5418 Å (Cu Kα), from the GGA-PBE geometry in Alexandria.
Neutral-atom scattering factors, no anomalous dispersion.

Structural model:
Cell lengths 13.686, 13.686, 3.384 Å; angles 90.00, 90.00, 110.78 degrees
Positions (direct):
Pm 0.097 0.261 0.000
Pm 0.261 0.097 0.000
Pm 0.739 0.903 0.000
Pm 0.903 0.739 0.000
Y 0.000 0.000 0.000
Y 0.111 0.665 0.000
Y 0.296 0.492 0.000
Y 0.335 0.889 0.000
Y 0.492 0.296 0.000
Y 0.508 0.704 0.000
Y 0.665 0.111 0.000
Y 0.704 0.508 0.000
Y 0.889 0.335 0.000
Al 0.087 0.463 0.500
Al 0.121 0.879 0.500
Al 0.308 0.308 0.500
Al 0.310 0.690 0.500
Al 0.463 0.087 0.500
Al 0.500 0.500 0.500
Al 0.537 0.913 0.500
Al 0.690 0.310 0.500
Al 0.692 0.692 0.500
Al 0.879 0.121 0.500
Al 0.913 0.537 0.500

Peak list (10 most intense, 2θ from 10° to 90°, in order of falling intensity)
| two_theta | I_rel |
| --- | --- |
| 35.10 | 100 |
| 26.34 | 68 |
| 35.72 | 61 |
| 39.56 | 44 |
| 23.70 | 42 |
| 33.18 | 34 |
| 32.76 | 33 |
| 60.67 | 32 |
| 28.99 | 31 |
| 33.62 | 28 |

Simulated powder X-ray diffraction pattern of PmYAl6 for λ = 1.5418 Å (Cu Kα), from the GGA-PBE geometry in Alexandria.
Neutral-atom scattering factors, no anomalous dispersion.

Structural model:
Cell lengths 6.346, 6.346, 4.657 Å; angles 90.00, 90.00, 120.00 degrees
Positions (direct):
Pm 0.000 0.000 0.000
Y 0.667 0.333 0.500
Al 0.044 0.522 0.000
Al 0.190 0.380 0.500
Al 0.190 0.810 0.500
Al 0.478 0.522 0.000
Al 0.478 0.956 0.000
Al 0.620 0.810 0.500

Peak list (10 most intense, 2θ from 10° to 90°, in order of falling intensity)
| two_theta | I_rel |
| --- | --- |
| 38.02 | 100 |
| 25.06 | 81 |
| 28.12 | 37 |
| 32.59 | 27 |
| 38.67 | 22 |
| 16.13 | 22 |
| 47.96 | 17 |
| 72.03 | 17 |
| 69.55 | 17 |
| 58.15 | 17 |

Simulated powder X-ray diffraction pattern of Pm2Y3Al3 for λ = 1.5418 Å (Cu Kα), from the GGA-PBE geometry in Alexandria.
Neutral-atom scattering factors, no anomalous dispersion.

Structural model:
Cell lengths 11.433, 11.433, 11.433 Å; angles 161.30, 153.93, 32.27 degrees
Positions (direct):
Pm 0.229 0.229 0.000
Pm 0.771 0.771 0.000
Y 0.000 0.000 0.000
Y 0.383 0.883 0.500
Y 0.617 0.117 0.500
Al 0.114 0.614 0.500
Al 0.500 0.500 0.000
Al 0.886 0.386 0.500

Peak list (10 most intense, 2θ from 10° to 90°, in order of falling intensity)
| two_theta | I_rel |
| --- | --- |
| 33.93 | 100 |
| 26.66 | 32 |
| 34.80 | 27 |
| 32.61 | 17 |
| 61.83 | 17 |
| 24.30 | 17 |
| 57.61 | 16 |
| 44.41 | 13 |
| 30.76 | 13 |
| 61.53 | 11 |